# Ti2BeB3
Calculated XRD peak list, a wavelength of 1.5418 Å. Input: a PBE-relaxed structure.

Cell and atoms:
a = 3.126 Å, b = 3.204 Å, c = 5.466 Å
α = 90.00°, β = 90.00°, γ = 90.00°
Space group Pmm2 (No. 25)
One atom of each set of equivalent atoms:
Ti1 0.000 0.000 0.000
Ti2 0.500 0.000 0.487
Be1 0.000 0.500 0.661
B1 0.000 0.500 0.318
B2 0.500 0.500 0.159
B3 0.500 0.500 0.841

Principal peaks in the range 15 to 90 degrees two-theta, by intensity:
2θ 43.7, d = 2.071 Å, I = 100, (1 1 1)
2θ 33.0, d = 2.713 Å, I = 61, (1 0 1)
2θ 43.5, d = 2.079 Å, I = 50, (0 1 2)
2θ 32.8, d = 2.733 Å, I = 32, (0 0 2)
2θ 27.8, d = 3.204 Å, I = 30, (0 1 0)
2θ 58.6, d = 1.574 Å, I = 24, (1 0 3)
2θ 76.2, d = 1.249 Å, I = 16, (2 1 2)
2θ 86.7, d = 1.123 Å, I = 15, (1 2 3)

# LaMn2Au
Calculated XRD peak list, a wavelength of 1.5418 Å. Input: a PBE-relaxed structure.

Cell and atoms:
a = 7.666 Å, b = 4.427 Å, c = 5.738 Å
α = 90.00°, β = 116.51°, γ = 90.00°
Space group Cm (No. 8)
One atom of each set of equivalent atoms:
La1 0.000 0.000 0.000
Mn1 0.013 0.500 0.538
Mn2 0.196 0.000 0.587
Au1 0.294 0.500 0.382

Principal peaks in the range 15 to 90 degrees two-theta, by intensity:
2θ 40.8, d = 2.213 Å, I = 100, (0 2 0)
2θ 33.0, d = 2.717 Å, I = 93, (1 1 1)
2θ 23.9, d = 3.720 Å, I = 86, (1 1 0)
2θ 37.5, d = 2.401 Å, I = 74, (2 0 1)
2θ 17.3, d = 5.134 Å, I = 29, (0 0 1)
2θ 54.8, d = 1.676 Å, I = 28, (3 1 1)
2θ 53.4, d = 1.716 Å, I = 24, (4 0 0)
2θ 56.5, d = 1.627 Å, I = 23, (2 2 1)

# Rb14Ho2O9
Calculated XRD peak list, a wavelength of 1.5418 Å. Input: a PBE-relaxed structure.

Cell and atoms:
a = 8.2941 Å, b = 8.2941 Å, c = 11.6620 Å
α = 90.00°, β = 90.00°, γ = 120.00°
Space group P-3 (No. 147)
One atom of each set of equivalent atoms:
Rb1 0.0000 0.0000 0.2492
Rb2 0.0168 0.6638 0.4042
Rb3 0.0959 0.3904 0.0927
Ho1 0.3333 0.6667 0.7849
O1 0.0000 0.0000 0.5000
O2 0.1200 0.3915 0.8446
O3 0.3333 0.6667 0.6007

Principal peaks in the range 15 to 90 degrees two-theta, by intensity:
2θ 26.4, d = 3.379 Å, I = 100, (1 1 2)
2θ 37.7, d = 2.385 Å, I = 40, (2 -1 4)
2θ 37.6, d = 2.394 Å, I = 36, (3 0 0)
2θ 33.9, d = 2.644 Å, I = 32, (3 -1 1)
2θ 26.0, d = 3.432 Å, I = 23, (2 0 1)
2θ 26.1, d = 3.419 Å, I = 18, (0 1 3)
2θ 46.5, d = 1.954 Å, I = 15, (4 -2 2)
2θ 56.4, d = 1.631 Å, I = 14, (2 3 1)

# Pr4PRhCl2
Calculated XRD peak list, a wavelength of 1.5418 Å. Input: a PBE-relaxed structure.

Cell and atoms:
a = 7.440 Å, b = 4.064 Å, c = 7.509 Å
α = 90.00°, β = 107.47°, γ = 90.00°
Space group P2/m (No. 10)
One atom of each set of equivalent atoms:
Pr1 0.213 0.000 0.230
Pr2 0.219 0.500 0.737
P1 0.000 0.000 0.500
Rh1 0.000 0.500 0.000
Cl1 0.500 0.000 0.000
Cl2 0.500 0.500 0.500

Principal peaks in the range 15 to 90 degrees two-theta, by intensity:
2θ 29.9, d = 2.992 Å, I = 100, (1 1 1)
2θ 29.6, d = 3.013 Å, I = 53, (2 0 -2)
2θ 42.4, d = 2.130 Å, I = 40, (1 1 -3)
2θ 42.7, d = 2.116 Å, I = 32, (3 1 -1)
2θ 26.5, d = 3.370 Å, I = 30, (1 1 -1)
2θ 54.5, d = 1.685 Å, I = 19, (2 2 -2)
2θ 44.6, d = 2.032 Å, I = 18, (0 2 0)
2θ 40.8, d = 2.211 Å, I = 17, (2 0 2)